NbV3P6O24: simulated powder diffractogram (Cu Kα X-rays), based on a crystal structure in Alexandria, relaxed with PBE+U.

Top 12 peaks for 2θ from 10° to 90°, in order of rising 2θ:
2θ/deg	I (rel.)
14.4	50
20.1	71
20.6	36
24.0	100
29.0	54
32.0	16
32.2	34
35.8	13
36.1	15
46.3	14
53.0	21
56.5	14

Structural model:
Cell lengths 8.6157, 8.6157, 21.8503 Å; angles 90.00, 90.00, 120.00 degrees
Space group R3 (No. 146, hexagonal axes)
One atom of each set of equivalent atoms:
Nb: 0.0000 0.0000 0.0000 [3 per cell]
V: 0.0000 0.0000 0.2822 [3 per cell]
V: 0.0000 0.0000 0.4992 [3 per cell]
V: 0.0000 0.0000 0.7823 [3 per cell]
P: 0.0005 0.2874 0.8882 [9 per cell]
P: 0.0093 0.7259 0.3903 [9 per cell]
O: 0.0214 0.1885 0.5474 [9 per cell]
O: 0.0242 0.1994 0.8311 [9 per cell]
O: 0.0371 0.8362 0.3324 [9 per cell]
O: 0.0388 0.8319 0.0497 [9 per cell]
O: 0.1653 0.6868 0.1146 [9 per cell]
O: 0.1672 0.4626 0.6119 [9 per cell]
O: 0.1673 0.4709 0.8971 [9 per cell]
O: 0.1677 0.6947 0.3973 [9 per cell]